1.
Theoretical powder X-ray diffraction pattern
Compound: CsBi2Au
Radiation: copper Kα
Structure: a cell relaxed with PBE
Peak positions follow from Bragg's law for the DFT cell and can differ from measured ones.

Cell and atoms:
Cell lengths 7.7172, 10.8802, 8.5459 Å; angles 90.00, 90.00, 90.00 degrees
Positions (direct):
Cs: 0.1423 0.2500 0.1060
Cs: 0.3577 0.7500 0.6060
Cs: 0.6423 0.2500 0.3940
Cs: 0.8577 0.7500 0.8940
Bi: 0.1515 0.1097 0.5859
Bi: 0.1515 0.3903 0.5859
Bi: 0.3485 0.6097 0.0859
Bi: 0.3485 0.8903 0.0859
Bi: 0.6515 0.1097 0.9141
Bi: 0.6515 0.3903 0.9141
Bi: 0.8485 0.6097 0.4141
Bi: 0.8485 0.8903 0.4141
Au: 0.0966 0.7500 0.2498
Au: 0.4034 0.2500 0.7498
Au: 0.5966 0.7500 0.2502
Au: 0.9034 0.2500 0.7502

Largest 6 diffraction maxima, sorted by position, 10 to 80 degrees two-theta:
Position (°2θ)  intensity
13.2  100
23.8  67
29.1  58
30.3  43
32.3  44
40.3  51

---

2.
Theoretical powder X-ray diffraction pattern
Compound: HoFe7B3
Radiation: copper Kα
Structure: a cell relaxed with PBE
Peak positions follow from Bragg's law for the DFT cell and can differ from measured ones.

Cell and atoms:
Cell lengths 7.2644, 7.2644, 7.2644 Å; angles 54.66, 54.66, 54.66 degrees
Positions (direct):
Ho: 0.0000 0.0000 0.0000
Ho: 0.5000 0.5000 0.5000
Fe: 0.0818 0.8513 0.6512
Fe: 0.1487 0.3488 0.9182
Fe: 0.1512 0.3513 0.5818
Fe: 0.2500 0.2500 0.2500
Fe: 0.3488 0.9182 0.1487
Fe: 0.3513 0.5818 0.1512
Fe: 0.4182 0.8488 0.6487
Fe: 0.5818 0.1512 0.3513
Fe: 0.6487 0.4182 0.8488
Fe: 0.6512 0.0818 0.8513
Fe: 0.7500 0.7500 0.7500
Fe: 0.8488 0.6487 0.4182
Fe: 0.8513 0.6512 0.0818
Fe: 0.9182 0.1487 0.3488
B: 0.0768 0.7500 0.4232
B: 0.2500 0.5768 0.9232
B: 0.4232 0.0768 0.7500
B: 0.5768 0.9232 0.2500
B: 0.7500 0.4232 0.0768
B: 0.9232 0.2500 0.5768

Largest 6 diffraction maxima, sorted by position, 10 to 80 degrees two-theta:
Position (°2θ)  intensity
26.7  37
36.7  64
41.7  40
42.1  60
46.0  100
48.4  33

---

3.
Theoretical powder X-ray diffraction pattern
Compound: YCuSO
Radiation: copper Kα
Structure: a cell relaxed with PBE
Peak positions follow from Bragg's law for the DFT cell and can differ from measured ones.

Cell and atoms:
Cell lengths 3.8200, 4.0938, 8.7969 Å; angles 90.00, 90.00, 90.00 degrees
Positions (direct):
Y: 0.2500 0.2500 0.1227
Y: 0.7500 0.7500 0.8773
Cu: 0.2500 0.2500 0.5147
Cu: 0.7500 0.7500 0.4853
S: 0.2500 0.7500 0.6501
S: 0.7500 0.2500 0.3499
O: 0.2500 0.7500 0.0271
O: 0.7500 0.2500 0.9729

Largest 6 diffraction maxima, sorted by position, 10 to 80 degrees two-theta:
Position (°2θ)  intensity
20.2  42
24.0  63
31.0  96
32.0  53
44.2  38
44.8  100

---

4.
Theoretical powder X-ray diffraction pattern
Compound: HoAl6
Radiation: copper Kα
Structure: a cell relaxed with PBE
Peak positions follow from Bragg's law for the DFT cell and can differ from measured ones.

Cell and atoms:
Cell lengths 5.8874, 5.8874, 7.8578 Å; angles 90.00, 90.00, 90.00 degrees
Positions (direct):
Ho: 0.2500 0.7500 0.0000
Ho: 0.7500 0.2500 0.0000
Al: 0.0762 0.5762 0.3552
Al: 0.0762 0.9238 0.6448
Al: 0.2500 0.2500 0.1596
Al: 0.2500 0.2500 0.8404
Al: 0.4238 0.5762 0.6448
Al: 0.4238 0.9238 0.3552
Al: 0.5762 0.0762 0.6448
Al: 0.5762 0.4238 0.3552
Al: 0.7500 0.7500 0.1596
Al: 0.7500 0.7500 0.8404
Al: 0.9238 0.0762 0.3552
Al: 0.9238 0.4238 0.6448

Largest 6 diffraction maxima, sorted by position, 10 to 80 degrees two-theta:
Position (°2θ)  intensity
11.3  82
21.3  45
24.2  55
31.3  67
32.5  100
40.7  57

---

5.
Theoretical powder X-ray diffraction pattern
Compound: HoErPa2N4
Radiation: copper Kα
Structure: a cell relaxed with PBE
Peak positions follow from Bragg's law for the DFT cell and can differ from measured ones.

Cell and atoms:
Cell lengths 6.0008, 3.4612, 6.0343 Å; angles 90.00, 109.43, 90.00 degrees
Positions (direct):
Ho: 0.0000 0.0000 0.0000
Er: 0.5000 0.5000 0.0000
Pa: 0.0000 0.5000 0.5000
Pa: 0.5000 0.0000 0.5000
N: 0.2496 0.0000 0.7461
N: 0.2531 0.5000 0.2547
N: 0.7469 0.5000 0.7453
N: 0.7504 0.0000 0.2539

Largest 6 diffraction maxima, sorted by position, 10 to 80 degrees two-theta:
Position (°2θ)  intensity
31.4  34
31.6  100
36.6  90
52.6  32
52.9  31
62.8  30

---

6.
Theoretical powder X-ray diffraction pattern
Compound: Na2B3C
Radiation: copper Kα
Structure: a cell relaxed with PBE
Peak positions follow from Bragg's law for the DFT cell and can differ from measured ones.

Cell and atoms:
Cell lengths 5.8159, 8.5954, 5.0734 Å; angles 90.00, 90.00, 90.00 degrees
Positions (direct):
Na: 0.0000 0.2469 0.0000
Na: 0.0000 0.7531 0.0000
Na: 0.2503 0.2465 0.5028
Na: 0.2503 0.7535 0.5028
Na: 0.5000 0.2503 0.0041
Na: 0.5000 0.7497 0.0041
Na: 0.7497 0.2465 0.5028
Na: 0.7497 0.7535 0.5028
B: 0.0000 0.0000 0.3405
B: 0.0000 0.0000 0.6840
B: 0.0000 0.5000 0.3574
B: 0.2359 0.5000 0.8232
B: 0.2484 0.5000 0.1630
B: 0.2623 0.0000 0.1597
B: 0.5000 0.0000 0.6665
B: 0.5000 0.5000 0.3400
B: 0.5000 0.5000 0.6797
B: 0.7377 0.0000 0.1597
B: 0.7516 0.5000 0.1630
B: 0.7641 0.5000 0.8232
C: 0.0000 0.5000 0.6682
C: 0.2548 0.0000 0.8371
C: 0.5000 0.0000 0.3343
C: 0.7452 0.0000 0.8371

Largest 6 diffraction maxima, sorted by position, 10 to 80 degrees two-theta:
Position (°2θ)  intensity
35.6  19
41.3  50
41.5  100
42.0  37
63.7  17
79.3  17